Starting from a crystal structure in Alexandria, relaxed with PBE, the XRD peak list of TbSc3H8 was simulated for λ = 1.5418 Å (Cu Kα).

Main lines, by intensity (5° ≤ 2θ ≤ 70°):
31.82 deg, I 100.0, (1 1 1); 36.91 deg, I 45.9, (2 0 0); 18.21 deg, I 40.7, (1 0 0); 63.32 deg, I 38.3, (3 1 1); 25.87 deg, I 36.8, (1 1 0); 53.18 deg, I 34.8, (2 2 0); 41.45 deg, I 22.2, (2 1 0); 45.62 deg, I 16.9, (2 1 1); 56.69 deg, I 11.4, (3 0 0); 66.49 deg, I 10.6, (2 2 2)

Cell and atoms:
abc: 4.8712 4.8712 4.8712
angles: 90.00 90.00 90.00
Positions (direct):
Tb1 0.0000 0.0000 0.0000
Sc1 0.0000 0.5000 0.5000
Sc2 0.5000 0.0000 0.5000
Sc3 0.5000 0.5000 0.0000
H1 0.2612 0.2612 0.2612
H2 0.2612 0.2612 0.7388
H3 0.2612 0.7388 0.2612
H4 0.2612 0.7388 0.7388
H5 0.7388 0.2612 0.2612
H6 0.7388 0.2612 0.7388
H7 0.7388 0.7388 0.2612
H8 0.7388 0.7388 0.7388